For AcSm5Y2Er, a crystal structure in Alexandria, relaxed with PBE gives the simulated powder X-ray diffraction pattern in this record (λ = 1.5418 Å (Cu Kα)).

Structure:
abc: 12.510 12.510 9.397
angles: 90.00 90.00 154.32
Fractional coordinates of all 18 atoms:
Ac (0.102, 0.898, 0.500)
Ac (0.898, 0.102, 0.000)
Sm (0.024, 0.976, 0.179)
Sm (0.105, 0.895, 0.901)
Sm (0.192, 0.808, 0.205)
Sm (0.242, 0.758, 0.561)
Sm (0.490, 0.510, 0.399)
Sm (0.510, 0.490, 0.899)
Sm (0.758, 0.242, 0.061)
Sm (0.808, 0.192, 0.705)
Sm (0.895, 0.105, 0.401)
Sm (0.976, 0.024, 0.679)
Y (0.328, 0.672, 0.248)
Y (0.387, 0.613, 0.653)
Y (0.613, 0.387, 0.153)
Y (0.672, 0.328, 0.748)
Er (0.260, 0.740, 0.889)
Er (0.740, 0.260, 0.389)

Top 12 peaks for 2θ from 10° to 80°, by angle:
2θ/deg	I_rel
16.4	22
27.2	27
29.0	27
29.4	23
30.9	100
31.8	82
32.2	73
33.0	67
43.9	19
56.6	18
58.2	18
64.1	17